Diffraction record for BaSrAgO3. The powder XRD pattern is computed, not measured: it uses a structure optimized by DFT (GGA-PBE) and copper Kα.
Intensities are scaled so that the largest is 100.

Structure:
Unit cell a=7.799 b=3.649 c=8.538 alpha=90.00 beta=95.84 gamma=90.00
Space group P2_1/m (No. 11)
One atom of each set of equivalent atoms:
Ba 0.162 0.250 0.191 [2 per cell]
Sr 0.370 0.750 0.849 [2 per cell]
Ag 0.129 0.250 0.595 [2 per cell]
O 0.131 0.250 0.853 [2 per cell]
O 0.175 0.750 0.449 [2 per cell]
O 0.404 0.750 0.132 [2 per cell]

The 10 most intense peaks (10 to 90 degrees two-theta), in order of rising 2θ:
| hkl | 2θ (°) | I_rel |
| --- | --- | --- |
| 1 0 0 | 11.4 | 43 |
| 1 0 1 | 16.2 | 20 |
| 1 1 0 | 27.0 | 19 |
| 2 0 -2 | 29.6 | 38 |
| 0 0 3 | 31.6 | 22 |
| 0 1 2 | 32.3 | 57 |
| 2 1 0 | 33.7 | 100 |
| 2 0 3 | 41.3 | 19 |
| 2 1 -3 | 45.1 | 20 |
| 0 2 0 | 50.0 | 18 |


Diffraction record for Th2NpAs2N2. The powder XRD pattern is computed, not measured: it uses a structure optimized by DFT (GGA-PBE) and copper Kα.
Intensities are scaled so that the largest is 100.

Structure:
Unit cell a=12.079 b=3.995 c=7.132 alpha=90.00 beta=121.21 gamma=90.00
Space group C2/m (No. 12)
One atom of each set of equivalent atoms:
Th 0.189 0.000 0.235 [4 per cell]
Np 0.000 0.000 0.500 [2 per cell]
As 0.064 0.500 0.834 [4 per cell]
N 0.196 0.000 0.582 [4 per cell]

The 10 most intense peaks (10 to 90 degrees two-theta), in order of rising 2θ:
| hkl | 2θ (°) | I_rel |
| --- | --- | --- |
| 1 1 0 | 23.9 | 22 |
| 2 0 -2 | 25.1 | 30 |
| 4 0 -1 | 29.8 | 61 |
| 1 1 1 | 30.4 | 100 |
| 1 1 -2 | 34.4 | 20 |
| 3 1 -2 | 35.4 | 63 |
| 0 2 0 | 45.4 | 22 |
| 1 1 -3 | 46.7 | 17 |
| 5 1 0 | 49.7 | 26 |
| 4 2 -1 | 55.2 | 22 |


Diffraction record for HfTlCd2. The powder XRD pattern is computed, not measured: it uses a structure optimized by DFT (GGA-PBE) and copper Kα.
Intensities are scaled so that the largest is 100.

Structure:
Unit cell a=4.382 b=4.382 c=4.565 alpha=90.00 beta=90.00 gamma=90.00
Space group P4/mmm (No. 123)
One atom of each set of equivalent atoms:
Hf 0.000 0.000 0.000 [1 per cell]
Tl 0.500 0.500 0.000 [1 per cell]
Cd 0.000 0.500 0.500 [2 per cell]

The 10 most intense peaks (10 to 90 degrees two-theta), in order of rising 2θ:
| hkl | 2θ (°) | I_rel |
| --- | --- | --- |
| 0 0 1 | 19.4 | 6 |
| 1 1 0 | 28.8 | 5 |
| 1 1 1 | 35.0 | 100 |
| 0 0 2 | 39.5 | 18 |
| 2 0 0 | 41.2 | 32 |
| 2 0 2 | 58.4 | 23 |
| 2 2 0 | 59.7 | 11 |
| 1 1 3 | 68.7 | 14 |
| 3 1 1 | 71.1 | 25 |
| 2 2 2 | 73.9 | 11 |


Diffraction record for Zr4CuOs. The powder XRD pattern is computed, not measured: it uses a structure optimized by DFT (GGA-PBE) and copper Kα.
Intensities are scaled so that the largest is 100.

Structure:
Unit cell a=5.584 b=7.207 c=5.978 alpha=90.00 beta=90.05 gamma=90.00
Space group P2_1/c (No. 14)
One atom of each set of equivalent atoms:
Zr 0.227 0.143 0.001 [4 per cell]
Zr 0.249 0.750 0.250 [4 per cell]
Cu 0.500 0.000 0.500 [2 per cell]
Os 0.000 0.000 0.500 [2 per cell]

The 10 most intense peaks (10 to 90 degrees two-theta), in order of rising 2θ:
| hkl | 2θ (°) | I_rel |
| --- | --- | --- |
| 1 0 0 | 15.9 | 33 |
| 0 1 1 | 19.3 | 38 |
| 1 2 1 | 33.2 | 34 |
| 1 1 2 | 36.3 | 90 |
| 2 1 1 | 37.7 | 100 |
| 0 2 2 | 39.2 | 53 |
| 0 3 1 | 40.5 | 55 |
| 2 2 0 | 40.9 | 89 |
| 2 1 3 | 58.3 | 28 |
| 2 4 2 | 69.6 | 43 |


Diffraction record for Ti5Fe2As5. The powder XRD pattern is computed, not measured: it uses a structure optimized by DFT (GGA-PBE) and copper Kα.
Intensities are scaled so that the largest is 100.

Structure:
Unit cell a=8.295 b=8.295 c=6.079 alpha=90.00 beta=90.00 gamma=90.00
Space group I4mm (No. 107)
One atom of each set of equivalent atoms:
Ti 0.000 0.000 0.000 [2 per cell]
Ti 0.203 0.203 0.579 [8 per cell]
Fe 0.000 0.500 0.141 [4 per cell]
As 0.000 0.000 0.417 [2 per cell]
As 0.000 0.290 0.893 [8 per cell]

The 10 most intense peaks (10 to 90 degrees two-theta), in order of rising 2θ:
| hkl | 2θ (°) | I_rel |
| --- | --- | --- |
| 2 1 1 | 28.2 | 100 |
| 3 0 1 | 35.7 | 65 |
| 3 2 1 | 42.0 | 18 |
| 2 2 2 | 42.9 | 68 |
| 4 0 0 | 43.6 | 53 |
| 3 1 2 | 45.7 | 57 |
| 2 1 3 | 51.4 | 41 |
| 3 3 2 | 55.9 | 23 |
| 5 2 1 | 62.2 | 23 |
| 5 2 3 | 77.9 | 41 |


Diffraction record for YGa3NiGe. The powder XRD pattern is computed, not measured: it uses a structure optimized by DFT (GGA-PBE) and copper Kα.
Intensities are scaled so that the largest is 100.

Structure:
Unit cell a=4.217 b=4.217 c=24.125 alpha=90.00 beta=90.00 gamma=90.00
Space group I4mm (No. 107)
One atom of each set of equivalent atoms:
Y 0.000 0.000 0.000 [2 per cell]
Y 0.000 0.000 0.298 [2 per cell]
Ga 0.000 0.500 0.100 [4 per cell]
Ga 0.000 0.500 0.209 [4 per cell]
Ga 0.000 0.500 0.394 [4 per cell]
Ni 0.000 0.000 0.154 [2 per cell]
Ni 0.000 0.000 0.437 [2 per cell]
Ge 0.000 0.000 0.531 [2 per cell]
Ge 0.000 0.000 0.802 [2 per cell]

The 10 most intense peaks (10 to 90 degrees two-theta), in order of rising 2θ:
| hkl | 2θ (°) | I_rel |
| --- | --- | --- |
| 1 1 4 | 33.5 | 95 |
| 0 0 10 | 37.3 | 27 |
| 1 1 6 | 37.6 | 97 |
| 1 1 8 | 42.6 | 44 |
| 2 0 0 | 42.9 | 100 |
| 1 1 10 | 48.5 | 15 |
| 2 0 10 | 58.1 | 29 |
| 2 2 0 | 62.3 | 44 |
| 3 1 4 | 72.6 | 17 |
| 3 1 6 | 75.0 | 24 |


Diffraction record for Na3Cd2Ag6. The powder XRD pattern is computed, not measured: it uses a structure optimized by DFT (GGA-PBE) and copper Kα.
Intensities are scaled so that the largest is 100.

Structure:
Unit cell a=9.975 b=9.975 c=9.975 alpha=90.00 beta=90.00 gamma=90.00
Space group Im-3m (No. 229)
One atom of each set of equivalent atoms:
Na 0.000 0.000 0.271 [12 per cell]
Cd 0.250 0.250 0.250 [8 per cell]
Ag 0.000 0.349 0.349 [24 per cell]

The 10 most intense peaks (10 to 90 degrees two-theta), in order of rising 2θ:
| hkl | 2θ (°) | I_rel |
| --- | --- | --- |
| 1 1 0 | 12.5 | 66 |
| 2 1 1 | 21.8 | 23 |
| 3 2 1 | 33.6 | 26 |
| 3 3 0 | 38.3 | 100 |
| 4 2 0 | 40.4 | 43 |
| 4 2 2 | 44.5 | 23 |
| 4 3 1 | 46.4 | 12 |
| 6 2 2 | 61.7 | 11 |
| 6 3 3 | 69.2 | 21 |
| 7 4 1 | 77.8 | 13 |


Diffraction record for HfNb2C2. The powder XRD pattern is computed, not measured: it uses a structure optimized by DFT (GGA-PBE) and copper Kα.
Intensities are scaled so that the largest is 100.

Structure:
Unit cell a=3.233 b=4.392 c=9.899 alpha=90.00 beta=90.00 gamma=90.00
Space group Immm (No. 71)
One atom of each set of equivalent atoms:
Hf 0.000 0.000 0.000 [2 per cell]
Nb 0.000 0.000 0.315 [4 per cell]
C 0.000 0.500 0.335 [4 per cell]

The 10 most intense peaks (10 to 90 degrees two-theta), in order of rising 2θ:
| hkl | 2θ (°) | I_rel |
| --- | --- | --- |
| 0 1 1 | 22.1 | 31 |
| 0 1 3 | 34.0 | 97 |
| 1 1 0 | 34.4 | 100 |
| 1 0 3 | 39.0 | 88 |
| 0 2 0 | 41.1 | 38 |
| 1 1 4 | 50.9 | 17 |
| 2 0 0 | 57.0 | 14 |
| 1 2 3 | 58.0 | 51 |
| 1 1 6 | 67.2 | 23 |
| 2 1 3 | 68.0 | 26 |


Diffraction record for Cs4Br5N2. The powder XRD pattern is computed, not measured: it uses a structure optimized by DFT (GGA-PBE) and copper Kα.
Intensities are scaled so that the largest is 100.

Structure:
Unit cell a=5.490 b=10.250 c=11.530 alpha=65.53 beta=76.62 gamma=89.98
Space group P-1 (No. 2)
One atom of each set of equivalent atoms:
Cs 0.004 0.286 0.494 [2 per cell]
Cs 0.256 0.759 0.991 [2 per cell]
Br 0.160 0.993 0.182 [2 per cell]
Br 0.170 0.344 0.161 [2 per cell]
Br 0.500 0.500 0.500 [1 per cell]
N 0.499 0.055 0.498 [2 per cell]

The 10 most intense peaks (10 to 90 degrees two-theta), in order of rising 2θ:
| hkl | 2θ (°) | I_rel |
| --- | --- | --- |
| 0 1 2 | 15.9 | 42 |
| 1 0 1 | 16.7 | 84 |
| 0 0 2 | 17.5 | 81 |
| 1 2 1 | 24.1 | 77 |
| -1 2 1 | 24.3 | 79 |
| 1 3 1 | 31.8 | 42 |
| 1 -3 0 | 31.9 | 49 |
| 0 2 4 | 32.2 | 54 |
| -1 3 2 | 32.4 | 62 |
| 2 0 1 | 32.6 | 100 |


Diffraction record for MnAu. The powder XRD pattern is computed, not measured: it uses a structure optimized by DFT (GGA-PBE) and copper Kα.
Intensities are scaled so that the largest is 100.

Structure:
Unit cell a=5.606 b=5.632 c=8.304 alpha=90.00 beta=90.00 gamma=90.00
Space group Fddd (No. 70, origin choice 2)
One atom of each set of equivalent atoms:
Mn 0.125 0.125 0.125 [8 per cell]
Au 0.125 0.125 0.625 [8 per cell]

The 10 most intense peaks (10 to 90 degrees two-theta), in order of rising 2θ:
| hkl | 2θ (°) | I_rel |
| --- | --- | --- |
| 1 1 1 | 24.8 | 94 |
| 0 2 2 | 38.6 | 100 |
| 2 0 2 | 38.8 | 99 |
| 1 1 3 | 39.7 | 29 |
| 0 0 4 | 43.6 | 36 |
| 2 2 0 | 45.7 | 62 |
| 2 2 4 | 65.0 | 43 |
| 2 0 6 | 76.8 | 27 |
| 2 4 2 | 79.6 | 24 |
| 4 2 2 | 79.9 | 24 |


Diffraction record for TmCdAg2. The powder XRD pattern is computed, not measured: it uses a structure optimized by DFT (GGA-PBE) and copper Kα.
Intensities are scaled so that the largest is 100.

Structure:
Unit cell a=6.935 b=6.935 c=6.935 alpha=90.00 beta=90.00 gamma=90.00
Space group Fm-3m (No. 225)
One atom of each set of equivalent atoms:
Tm 0.000 0.000 0.000 [4 per cell]
Cd 0.000 0.000 0.500 [4 per cell]
Ag 0.250 0.250 0.250 [8 per cell]

The 10 most intense peaks (10 to 90 degrees two-theta), in order of rising 2θ:
| hkl | 2θ (°) | I_rel |
| --- | --- | --- |
| 1 1 1 | 22.2 | 2 |
| 2 0 0 | 25.7 | 2 |
| 2 2 0 | 36.6 | 100 |
| 3 1 1 | 43.3 | 1 |
| 4 0 0 | 52.8 | 17 |
| 3 3 1 | 58.0 | 1 |
| 4 2 0 | 59.6 | 1 |
| 4 2 2 | 66.0 | 34 |
| 4 4 0 | 77.9 | 11 |
| 6 2 0 | 89.3 | 16 |


Diffraction record for Li4TiPt5. The powder XRD pattern is computed, not measured: it uses a structure optimized by DFT (GGA-PBE) and copper Kα.
Intensities are scaled so that the largest is 100.

Structure:
Unit cell a=3.083 b=3.083 c=14.435 alpha=90.00 beta=90.00 gamma=90.00
Space group P4/mmm (No. 123)
One atom of each set of equivalent atoms:
Li 0.000 0.000 0.097 [2 per cell]
Li 0.000 0.000 0.288 [2 per cell]
Ti 0.000 0.000 0.500 [1 per cell]
Pt 0.500 0.500 0.000 [1 per cell]
Pt 0.500 0.500 0.197 [2 per cell]
Pt 0.500 0.500 0.395 [2 per cell]

The 10 most intense peaks (10 to 90 degrees two-theta), in order of rising 2θ:
| hkl | 2θ (°) | I_rel |
| --- | --- | --- |
| 1 0 0 | 29.0 | 100 |
| 0 0 5 | 31.0 | 42 |
| 1 1 0 | 41.4 | 51 |
| 1 0 5 | 42.9 | 92 |
| 1 1 5 | 52.6 | 39 |
| 2 0 0 | 60.0 | 17 |
| 2 1 0 | 68.0 | 18 |
| 2 0 5 | 69.1 | 17 |
| 1 0 10 | 72.3 | 15 |
| 2 1 5 | 76.6 | 34 |